# PuTiRu4
Computed powder diffractogram, Cu Kα. Input: DFT lattice parameters and positions (GGA-PBE).
No peak broadening, texture or thermal motion is included.

The 12 most intense peaks (10 to 90 degrees two-theta), by intensity:
d (Å), I/Imax
2.222, 100
2.605, 34
2.127, 33
1.418, 32
1.303, 23
3.685, 18
4.255, 16
1.504, 13
1.111, 12
1.124, 12
1.648, 8
1.165, 6

Structural model:
```
6
Lattice="0.0000 3.6846 3.6846 3.6846 0.0000 3.6846 3.6846 3.6846 0.0000" Properties=species:S:1:pos:R:3 pbc="T T T"
Pu 0.0000 0.0000 0.0000
Ti 5.5269 5.5269 5.5269
Ru 2.7670 2.7670 2.7670
Ru 4.6022 4.6022 2.7670
Ru 4.6022 2.7670 4.6022
Ru 2.7670 4.6022 4.6022
```